# Rb2Pm2FeO6
Simulated PXRD pattern, Cu Ka. Input: a GGA+U-relaxed structure.
No peak broadening, texture or thermal motion is included.

Crystal structure
```
data_Rb2Pm2FeO6
_chemical_formula_sum 'Rb2 Pm2 Fe1 O6'
_cell_length_a 5.933
_cell_length_b 5.933
_cell_length_c 6.889
_cell_angle_alpha 97.12
_cell_angle_beta 97.12
_cell_angle_gamma 119.81
_symmetry_space_group_name_H-M 'P 1'
_symmetry_Int_Tables_number 1
loop_
_symmetry_equiv_pos_as_xyz
'x,y,z'
loop_
_atom_site_label
_atom_site_type_symbol
_atom_site_fract_x
_atom_site_fract_y
_atom_site_fract_z
Rb1 Rb 0.162 0.838 0.000
Rb2 Rb 0.838 0.162 0.000
Pm1 Pm 0.333 0.667 0.500
Pm2 Pm 0.667 0.333 0.500
Fe1 Fe 0.000 0.000 0.500
O1 O 0.045 0.353 0.666
O2 O 0.227 0.227 0.342
O3 O 0.353 0.045 0.666
O4 O 0.647 0.955 0.334
O5 O 0.773 0.773 0.658
O6 O 0.955 0.647 0.334
```

Principal peaks in the range 15° ≤ 2θ ≤ 90°, sorted by position:
2theta	d/Å	I (rel.)
19.7	4.510	31
24.4	3.655	21
26.7	3.338	64
31.0	2.882	37
31.6	2.828	68
34.8	2.575	100
35.8	2.511	54
48.0	1.894	32
53.4	1.715	28
54.8	1.676	26

***

# PmFeSeO2
Simulated PXRD pattern, Cu Ka. Input: a GGA+U-relaxed structure.
No peak broadening, texture or thermal motion is included.

Crystal structure
```
data_PmFeSeO2
_chemical_formula_sum 'Pm2 Fe2 Se2 O4'
_cell_length_a 6.539
_cell_length_b 6.539
_cell_length_c 5.341
_cell_angle_alpha 90.00
_cell_angle_beta 90.00
_cell_angle_gamma 131.19
_symmetry_space_group_name_H-M 'P 1'
_symmetry_Int_Tables_number 1
loop_
_symmetry_equiv_pos_as_xyz
'x,y,z'
loop_
_atom_site_label
_atom_site_type_symbol
_atom_site_fract_x
_atom_site_fract_y
_atom_site_fract_z
Pm1 Pm 0.117 0.883 0.750
Pm2 Pm 0.883 0.117 0.250
Fe1 Fe 0.445 0.555 0.750
Fe2 Fe 0.555 0.445 0.250
Se1 Se 0.250 0.750 0.250
Se2 Se 0.750 0.250 0.750
O1 O 0.260 0.260 0.000
O2 O 0.260 0.260 0.500
O3 O 0.740 0.740 0.000
O4 O 0.740 0.740 0.500
```

Principal peaks in the range 15° ≤ 2θ ≤ 90°, sorted by position:
2theta	d/Å	I (rel.)
22.4	3.976	24
27.9	3.199	17
32.6	2.744	100
33.2	2.702	24
33.6	2.670	24
40.4	2.235	10
47.9	1.899	27
58.9	1.568	18
59.4	1.556	17
79.5	1.206	11

***

Which formula does entry 1 have? Rb2Pm2FeO6